This entry pairs a crystal structure of CaMn5P3 with its calculated XRD peak list. Radiation: Cu Ka. Structure: DFT lattice parameters and positions (GGA-PBE).

Largest 12 diffraction maxima, sorted by position, 15° ≤ 2θ ≤ 90°:
5.511 Å, 16.08 deg, I = 65
5.274 Å, 16.81 deg, I = 53
2.730 Å, 32.80 deg, I = 50
2.558 Å, 35.08 deg, I = 91
2.446 Å, 36.74 deg, I = 38
2.180 Å, 41.42 deg, I = 100
2.020 Å, 44.87 deg, I = 54
1.897 Å, 47.96 deg, I = 63
1.875 Å, 48.57 deg, I = 49
1.866 Å, 48.81 deg, I = 80
1.757 Å, 52.04 deg, I = 63
1.279 Å, 74.12 deg, I = 37

Cell and atoms:
Cell lengths 3.7319, 12.0129, 11.0211 Å; angles 90.00, 90.00, 90.00 degrees
Space group Cmcm (No. 63)
Unique sites:
Ca1 0.0000 0.1673 0.2500 (multiplicity 4)
Mn1 0.0000 0.0000 0.0000 (multiplicity 4)
Mn2 0.0000 0.1920 0.5602 (multiplicity 8)
Mn3 0.0000 0.4489 0.1477 (multiplicity 8)
P1 0.0000 0.1141 0.7500 (multiplicity 4)
P2 0.0000 0.3791 0.5507 (multiplicity 8)